Structure and computed X-ray powder pattern of Pm5Zn2Cd2 (DFT lattice parameters and positions (GGA-PBE); CuKα).
No peak broadening, texture or thermal motion is included.

Structural model:
```
data_Pm5Zn2Cd2
_chemical_formula_sum 'Pm20 Zn8 Cd8'
_cell_length_a 17.7582
_cell_length_b 7.4900
_cell_length_c 7.6595
_cell_angle_alpha 90.00
_cell_angle_beta 90.00
_cell_angle_gamma 90.00
_space_group_name_H-M_alt 'C m c e'
_space_group_IT_number 64
_space_group_name_Hall '-C 2ac 2'
loop_
_atom_site_label
_atom_site_type_symbol
_atom_site_fract_x
_atom_site_fract_y
_atom_site_fract_z
_atom_site_occupancy
Pm1 Pm 0.0000 0.0000 0.0000 1
Pm2 Pm 0.1324 0.1882 0.3163 1
Zn1 Zn 0.0000 0.1141 0.6201 1
Cd1 Cd 0.2266 0.0000 0.0000 1
```

Most intense lines, 2θ = 10–90°, low angle first:
hkl 3 1 2, 30.2°, intensity 80.4; hkl 4 0 2, 30.8°, intensity 76.9; hkl 4 2 0, 31.2°, intensity 81.3; hkl 0 2 2, 33.4°, intensity 100.0; hkl 1 1 3, 37.6°, intensity 25.6; hkl 1 3 1, 38.3°, intensity 23.5; hkl 8 0 0, 40.6°, intensity 28.7; hkl 8 2 2, 53.6°, intensity 25.1; hkl 4 4 1, 54.5°, intensity 18.0; hkl 7 3 3, 63.8°, intensity 18.8